# 1
# Ce2PmMoN5
Theoretical powder diffractogram, a wavelength of 1.5418 Å. Input: the GGA-PBE geometry in Alexandria.
Lines closer than 0.1° are merged.

Atomic structure:
a b c (Å): 7.4818 7.4818 7.4818
angles (deg): 127.01 127.01 78.24
Fractional coordinates of all 18 atoms:
Ce 0.1723 0.6723 0.8447
Ce 0.3277 0.1723 0.5000
Ce 0.6723 0.8277 0.5000
Ce 0.8277 0.3277 0.1553
Pm 0.2500 0.2500 0.0000
Pm 0.7500 0.7500 0.0000
Mo 0.2500 0.7500 0.5000
Mo 0.7500 0.2500 0.5000
N 0.0000 0.0000 0.0000
N 0.0079 0.1992 0.5000
N 0.1992 0.6992 0.1913
N 0.3008 0.4921 0.5000
N 0.4921 0.9921 0.1913
N 0.5000 0.5000 0.0000
N 0.5079 0.0079 0.8087
N 0.6992 0.5079 0.5000
N 0.8008 0.3008 0.8087
N 0.9921 0.8008 0.5000

Top 6 peaks for 5° ≤ 2θ ≤ 70°, by angle:
- d = 2.896 Å, rel. 100.0
- d = 2.891 Å, rel. 30.4
- d = 2.363 Å, rel. 49.2
- d = 1.832 Å, rel. 25.6
- d = 1.674 Å, rel. 15.3
- d = 1.604 Å, rel. 16.5

# 2
# RbCeMoN3
Theoretical powder diffractogram, a wavelength of 1.5418 Å. Input: the GGA-PBE geometry in Alexandria.
Lines closer than 0.1° are merged.

Atomic structure:
a b c (Å): 8.6558 8.6558 7.8828
angles (deg): 103.91 103.91 24.17
Fractional coordinates of all 12 atoms:
Rb 0.1406 0.1406 0.0619
Rb 0.8594 0.8594 0.9381
Ce 0.1662 0.1662 0.5314
Ce 0.8338 0.8338 0.4686
Mo 0.4827 0.4827 0.3263
Mo 0.5173 0.5173 0.6737
N 0.0238 0.0238 0.3045
N 0.3029 0.3029 0.6112
N 0.3728 0.3728 0.2655
N 0.6272 0.6272 0.7345
N 0.6971 0.6971 0.3888
N 0.9762 0.9762 0.6955

Top 6 peaks for 5° ≤ 2θ ≤ 70°, by angle:
- d = 7.641 Å, rel. 87.7
- d = 3.177 Å, rel. 51.0
- d = 3.022 Å, rel. 100.0
- d = 2.950 Å, rel. 31.2
- d = 2.735 Å, rel. 40.3
- d = 2.668 Å, rel. 60.6

# 3
# SrCe2MoN4
Theoretical powder diffractogram, a wavelength of 1.5418 Å. Input: the GGA-PBE geometry in Alexandria.
Lines closer than 0.1° are merged.

Atomic structure:
a b c (Å): 6.3760 6.3760 11.9005
angles (deg): 90.00 90.00 147.41
Fractional coordinates of all 16 atoms:
Sr 0.1183 0.8817 0.7500
Sr 0.8817 0.1183 0.2500
Ce 0.3681 0.6319 0.5398
Ce 0.3681 0.6319 0.9602
Ce 0.6319 0.3681 0.0398
Ce 0.6319 0.3681 0.4602
Mo 0.1474 0.8526 0.2500
Mo 0.8526 0.1474 0.7500
N 0.0000 0.0000 0.0000
N 0.0000 0.0000 0.5000
N 0.2563 0.7437 0.1236
N 0.2563 0.7437 0.3764
N 0.4267 0.5733 0.7500
N 0.5733 0.4267 0.2500
N 0.7437 0.2563 0.6236
N 0.7437 0.2563 0.8764

Top 6 peaks for 5° ≤ 2θ ≤ 70°, by angle:
- d = 3.329 Å, rel. 19.7
- d = 3.060 Å, rel. 45.6
- d = 2.975 Å, rel. 100.0
- d = 2.451 Å, rel. 76.0
- d = 2.133 Å, rel. 22.2
- d = 1.519 Å, rel. 18.1